1.
# K2GeSe4
Theoretical X-ray diffraction stick pattern, a wavelength of 1.5418 Å. Input: a structure optimized by DFT (PBE).
Kinematic intensities with the Lorentz-polarization factor, no thermal factor.

Main lines, sorted by position (2θ from 10° to 80°):
2θ/deg, I/Imax
12.9, 85
18.8, 49
25.7, 55
25.8, 87
27.9, 49
29.2, 57
29.4, 100
31.2, 46

Atomic structure:
a = 12.224 Å, b = 8.473 Å, c = 9.200 Å
α = 90.00°, β = 106.31°, γ = 90.00°
Fractional positions:
K: 0.045 0.074 0.228
K: 0.045 0.426 0.728
K: 0.342 0.088 0.693
K: 0.342 0.412 0.193
K: 0.658 0.588 0.807
K: 0.658 0.912 0.307
K: 0.955 0.574 0.272
K: 0.955 0.926 0.772
Ge: 0.258 0.634 0.549
Ge: 0.258 0.866 0.049
Ge: 0.742 0.134 0.951
Ge: 0.742 0.366 0.451
Se: 0.126 0.669 0.035
Se: 0.126 0.831 0.535
Se: 0.200 0.122 0.968
Se: 0.200 0.378 0.468
Se: 0.362 0.555 0.809
Se: 0.362 0.945 0.309
Se: 0.421 0.713 0.454
Se: 0.421 0.787 0.954
Se: 0.579 0.213 0.046
Se: 0.579 0.287 0.546
Se: 0.638 0.055 0.691
Se: 0.638 0.445 0.191
Se: 0.800 0.622 0.532
Se: 0.800 0.878 0.032
Se: 0.874 0.169 0.465
Se: 0.874 0.331 0.965

2.
# BeO2
Theoretical X-ray diffraction stick pattern, a wavelength of 1.5418 Å. Input: a structure optimized by DFT (PBE).
Kinematic intensities with the Lorentz-polarization factor, no thermal factor.

Main lines, sorted by position (2θ from 10° to 80°):
2θ/deg, I/Imax
23.3, 100
23.8, 84
31.7, 21
37.1, 69
44.5, 16
45.0, 21
48.7, 20
49.5, 22

Atomic structure:
a = 4.206 Å, b = 4.315 Å, c = 8.135 Å
α = 90.00°, β = 90.00°, γ = 90.00°
Fractional positions:
Be: 0.043 0.181 0.126
Be: 0.457 0.819 0.626
Be: 0.543 0.319 0.874
Be: 0.957 0.681 0.374
O: 0.128 0.890 0.239
O: 0.186 0.635 0.530
O: 0.314 0.365 0.030
O: 0.372 0.110 0.739
O: 0.628 0.610 0.761
O: 0.686 0.865 0.470
O: 0.814 0.135 0.970
O: 0.872 0.390 0.261

3.
# SrCaS2
Theoretical X-ray diffraction stick pattern, a wavelength of 1.5418 Å. Input: a structure optimized by DFT (PBE).
Kinematic intensities with the Lorentz-polarization factor, no thermal factor.

Main lines, sorted by position (2θ from 10° to 80°):
2θ/deg, I/Imax
26.2, 19
30.3, 100
43.4, 70
51.3, 10
53.8, 24
63.0, 11
71.5, 30
79.6, 22

Atomic structure:
a = 4.174 Å, b = 4.174 Å, c = 5.901 Å
α = 90.00°, β = 90.00°, γ = 90.00°
Fractional positions:
Sr: 0.000 0.000 0.000
Ca: 0.500 0.500 0.500
S: 0.000 0.000 0.500
S: 0.500 0.500 0.000

4.
# Pr2Co7
Theoretical X-ray diffraction stick pattern, a wavelength of 1.5418 Å. Input: a structure optimized by DFT (PBE).
Kinematic intensities with the Lorentz-polarization factor, no thermal factor.

Main lines, sorted by position (2θ from 10° to 80°):
2θ/deg, I/Imax
31.7, 42
33.6, 30
35.6, 46
41.4, 34
42.0, 100
44.1, 15
68.3, 22
75.3, 20

Atomic structure:
a = 12.652 Å, b = 12.652 Å, c = 12.652 Å
α = 23.02°, β = 23.02°, γ = 23.02°
Fractional positions:
Pr: 0.051 0.051 0.051
Pr: 0.148 0.148 0.148
Pr: 0.852 0.852 0.852
Pr: 0.949 0.949 0.949
Co: 0.000 0.500 0.500
Co: 0.112 0.605 0.605
Co: 0.279 0.279 0.279
Co: 0.387 0.387 0.387
Co: 0.395 0.395 0.888
Co: 0.395 0.888 0.395
Co: 0.500 0.000 0.500
Co: 0.500 0.500 0.000
Co: 0.500 0.500 0.500
Co: 0.605 0.112 0.605
Co: 0.605 0.605 0.112
Co: 0.613 0.613 0.613
Co: 0.721 0.721 0.721
Co: 0.888 0.395 0.395

5.
# MgH12I8O6
Theoretical X-ray diffraction stick pattern, a wavelength of 1.5418 Å. Input: a structure optimized by DFT (PBE).
Kinematic intensities with the Lorentz-polarization factor, no thermal factor.

Main lines, sorted by position (2θ from 10° to 80°):
2θ/deg, I/Imax
10.8, 37
20.3, 45
20.9, 100
25.3, 36
27.3, 29
28.3, 29
29.8, 40
31.3, 35

Atomic structure:
a = 7.731 Å, b = 9.127 Å, c = 9.684 Å
α = 63.86°, β = 67.63°, γ = 77.03°
Fractional positions:
Mg: 0.000 0.000 0.000
H: 0.097 0.308 0.769
H: 0.143 0.766 0.869
H: 0.204 0.949 0.203
H: 0.211 0.187 0.684
H: 0.284 0.101 0.040
H: 0.289 0.767 0.947
H: 0.711 0.233 0.053
H: 0.716 0.899 0.960
H: 0.789 0.813 0.316
H: 0.796 0.051 0.797
H: 0.857 0.234 0.131
H: 0.903 0.692 0.231
I: 0.034 0.357 0.260
I: 0.261 0.636 0.431
I: 0.363 0.106 0.430
I: 0.465 0.378 0.871
I: 0.535 0.622 0.129
I: 0.637 0.894 0.570
I: 0.739 0.364 0.569
I: 0.966 0.643 0.740
O: 0.130 0.193 0.789
O: 0.176 0.824 0.919
O: 0.192 0.017 0.096
O: 0.808 0.983 0.904
O: 0.824 0.176 0.081
O: 0.870 0.807 0.211

6.
# MgPb
Theoretical X-ray diffraction stick pattern, a wavelength of 1.5418 Å. Input: a structure optimized by DFT (PBE).
Kinematic intensities with the Lorentz-polarization factor, no thermal factor.

Main lines, sorted by position (2θ from 10° to 80°):
2θ/deg, I/Imax
22.5, 88
26.1, 34
31.6, 23
32.4, 33
34.7, 100
35.6, 19
42.1, 20
59.3, 27

Atomic structure:
a = 5.527 Å, b = 3.410 Å, c = 5.663 Å
α = 90.00°, β = 90.00°, γ = 90.00°
Fractional positions:
Mg: 0.250 0.000 0.190
Mg: 0.750 0.000 0.810
Pb: 0.250 0.500 0.700
Pb: 0.750 0.500 0.300

7.
# RbLi2CdC2O6F
Theoretical X-ray diffraction stick pattern, a wavelength of 1.5418 Å. Input: a structure optimized by DFT (PBE).
Kinematic intensities with the Lorentz-polarization factor, no thermal factor.

Main lines, sorted by position (2θ from 10° to 80°):
2θ/deg, I/Imax
20.6, 75
30.9, 100
36.0, 33
41.8, 17
43.0, 42
48.1, 23
51.3, 18
61.6, 23

Atomic structure:
a = 4.988 Å, b = 4.988 Å, c = 15.624 Å
α = 90.00°, β = 90.00°, γ = 120.00°
Fractional positions:
Rb: 0.000 0.000 0.250
Rb: 0.000 0.000 0.750
Li: 0.333 0.667 0.130
Li: 0.333 0.667 0.370
Li: 0.667 0.333 0.630
Li: 0.667 0.333 0.870
Cd: 0.000 0.000 0.000
Cd: 0.000 0.000 0.500
C: 0.333 0.667 0.590
C: 0.333 0.667 0.910
C: 0.667 0.333 0.090
C: 0.667 0.333 0.410
O: 0.072 0.667 0.591
O: 0.072 0.667 0.909
O: 0.333 0.406 0.591
O: 0.333 0.406 0.909
O: 0.406 0.072 0.091
O: 0.406 0.072 0.409
O: 0.594 0.928 0.591
O: 0.594 0.928 0.909
O: 0.667 0.594 0.091
O: 0.667 0.594 0.409
O: 0.928 0.333 0.091
O: 0.928 0.333 0.409
F: 0.333 0.667 0.250
F: 0.667 0.333 0.750